(1)
B2P: calculated powder X-ray diffraction pattern (Cu Kα (λ = 1.5418 Å)), based on a DFT-relaxed cell (PBE, Alexandria).

```
data_B2P
_space_group_name_H-M_alt 'P 1 m 1'
_space_group_IT_number 6
_cell_length_a 3.162
_cell_length_b 3.047
_cell_length_c 6.539
_cell_angle_alpha 90.00
_cell_angle_beta 96.09
_cell_angle_gamma 90.00
loop_
_space_group_symop_operation_xyz
'x,y,z'
'x,-y,z'
loop_
_atom_site_label
_atom_site_type_symbol
_atom_site_fract_x
_atom_site_fract_y
_atom_site_fract_z
B1 B 0.000 0.000 0.000
B2 B 0.152 0.000 0.550
B3 B 0.424 0.500 0.626
B4 B 0.626 0.000 0.459
P1 P 0.537 0.000 0.163
P2 P 0.957 0.500 0.809
```

Top 12 peaks for 2θ from 5° to 70°, low angle first:
hkl, 2theta, d/Å, I (rel.)
0 0 1, 13.6, 6.502, 31
1 0 -1, 30.2, 2.957, 28
0 1 1, 32.5, 2.759, 100
1 0 1, 32.9, 2.720, 51
1 0 -2, 37.6, 2.391, 30
0 1 2, 40.6, 2.223, 35
1 1 0, 41.3, 2.188, 28
0 0 3, 41.7, 2.167, 20
1 1 -1, 42.6, 2.122, 17
1 1 2, 52.1, 1.756, 16
1 1 -3, 57.6, 1.600, 23
1 1 3, 62.5, 1.486, 21

(2)
Cd2GaAu6: calculated powder X-ray diffraction pattern (Cu Kα (λ = 1.5418 Å)), based on a DFT-relaxed cell (PBE, Alexandria).

```
data_Cd2GaAu6
_space_group_name_H-M_alt 'P 42/m n m'
_space_group_IT_number 136
_space_group_name_Hall '-P 4n 2n'
_cell_length_a 8.952
_cell_length_b 8.952
_cell_length_c 4.152
_cell_angle_alpha 90.00
_cell_angle_beta 90.00
_cell_angle_gamma 90.00
loop_
_atom_site_label
_atom_site_type_symbol
_atom_site_fract_x
_atom_site_fract_y
_atom_site_fract_z
Cd1 Cd 0.187 0.187 0.000
Ga1 Ga 0.000 0.000 0.500
Au1 Au 0.010 0.331 0.500
Au2 Au 0.142 0.858 0.000
```

Top 12 peaks for 2θ from 5° to 70°, low angle first:
hkl, 2theta, d/Å, I (rel.)
1 1 0, 14.0, 6.330, 4
2 1 0, 22.2, 4.004, 3
2 1 1, 31.0, 2.882, 7
3 2 0, 36.2, 2.483, 5
3 0 1, 37.1, 2.423, 100
3 1 1, 38.5, 2.339, 7
3 3 0, 42.9, 2.110, 31
0 0 2, 43.6, 2.076, 17
6 0 0, 62.2, 1.492, 8
3 3 2, 62.8, 1.480, 20
6 1 0, 63.2, 1.472, 3
5 3 1, 64.7, 1.440, 3

(3)
Hf6NbAl5: calculated powder X-ray diffraction pattern (Cu Kα (λ = 1.5418 Å)), based on a DFT-relaxed cell (PBE, Alexandria).

```
data_Hf6NbAl5
_space_group_name_H-M_alt 'P 1 2/m 1'
_space_group_IT_number 10
_cell_length_a 4.269
_cell_length_b 8.077
_cell_length_c 6.966
_cell_angle_alpha 90.00
_cell_angle_beta 107.68
_cell_angle_gamma 90.00
loop_
_space_group_symop_operation_xyz
'x,y,z'
'-x,-y,-z'
'-x,y,-z'
'x,-y,z'
loop_
_atom_site_label
_atom_site_type_symbol
_atom_site_fract_x
_atom_site_fract_y
_atom_site_fract_z
Hf1 Hf 0.000 0.248 0.000
Hf2 Hf 0.333 0.248 0.665
Nb1 Nb 0.500 0.000 0.000
Al1 Al 0.163 0.000 0.326
Al2 Al 0.169 0.500 0.338
Al3 Al 0.500 0.500 0.000
```

Top 12 peaks for 2θ from 5° to 70°, low angle first:
hkl, 2theta, d/Å, I (rel.)
0 2 0, 22.0, 4.038, 37
1 0 1, 29.1, 3.072, 38
1 2 1, 36.8, 2.445, 100
0 0 3, 40.8, 2.212, 19
2 0 -1, 42.3, 2.134, 17
0 4 0, 44.9, 2.019, 14
0 2 3, 46.8, 1.940, 11
2 2 -1, 48.2, 1.887, 10
1 4 1, 54.4, 1.687, 14
2 0 -4, 60.3, 1.534, 6
0 4 3, 62.3, 1.491, 11
2 4 -1, 63.4, 1.467, 10

(4)
Sn3TeS2: calculated powder X-ray diffraction pattern (Cu Kα (λ = 1.5418 Å)), based on a DFT-relaxed cell (PBE, Alexandria).

```
data_Sn3TeS2
_space_group_name_H-M_alt 'C m c 21'
_space_group_IT_number 36
_cell_length_a 11.842
_cell_length_b 11.699
_cell_length_c 6.327
_cell_angle_alpha 90.00
_cell_angle_beta 90.00
_cell_angle_gamma 90.00
loop_
_space_group_symop_operation_xyz
'x,y,z'
'-x,-y,z+1/2'
'-x,y,z'
'x,-y,z+1/2'
'x+1/2,y+1/2,z'
'-x+1/2,-y+1/2,z+1/2'
'-x+1/2,y+1/2,z'
'x+1/2,-y+1/2,z+1/2'
loop_
_atom_site_label
_atom_site_type_symbol
_atom_site_fract_x
_atom_site_fract_y
_atom_site_fract_z
Sn1 Sn 0.000 0.163 0.000
Sn2 Sn 0.177 0.341 0.563
Te1 Te 0.000 0.167 0.488
S1 S 0.166 0.312 0.985
```

Top 12 peaks for 2θ from 5° to 70°, low angle first:
hkl, 2theta, d/Å, I (rel.)
0 2 0, 15.1, 5.849, 77
0 2 1, 20.7, 4.295, 34
3 1 0, 23.8, 3.740, 58
3 1 1, 27.7, 3.220, 22
0 0 2, 28.2, 3.164, 61
0 2 2, 32.1, 2.785, 29
3 3 0, 32.3, 2.774, 100
3 1 2, 37.2, 2.415, 30
3 3 2, 43.4, 2.086, 72
6 0 0, 46.0, 1.974, 18
0 6 0, 46.6, 1.950, 17
6 0 2, 54.8, 1.675, 19

(5)
DyHo3Ir8: calculated powder X-ray diffraction pattern (Cu Kα (λ = 1.5418 Å)), based on a DFT-relaxed cell (PBE, Alexandria).

```
data_DyHo3Ir8
_space_group_name_H-M_alt 'R 3 m'
_space_group_IT_number 160
_space_group_name_Hall 'R 3 -2"'
_cell_length_a 5.3537
_cell_length_b 5.3537
_cell_length_c 26.1997
_cell_angle_alpha 90.00
_cell_angle_beta 90.00
_cell_angle_gamma 120.00
loop_
_atom_site_label
_atom_site_type_symbol
_atom_site_fract_x
_atom_site_fract_y
_atom_site_fract_z
Dy1 Dy 0.0000 0.0000 0.0000
Ho1 Ho 0.0000 0.0000 0.3752
Ho2 Ho 0.0000 0.0000 0.5001
Ho3 Ho 0.0000 0.0000 0.8750
Ir1 Ir 0.0000 0.0000 0.1876
Ir2 Ir 0.0000 0.0000 0.6876
Ir3 Ir 0.0001 0.5000 0.4377
Ir4 Ir 0.0000 0.5000 0.9375
```

Top 8 peaks for 2θ from 5° to 70°, low angle first:
hkl, 2theta, d/Å, I (rel.)
0 0 6, 20.3, 4.370, 11
1 1 0, 33.5, 2.676, 22
2 0 2, 39.5, 2.282, 100
0 2 4, 41.3, 2.185, 46
2 0 8, 48.1, 1.892, 7
0 1 14, 52.7, 1.736, 3
3 0 0, 59.9, 1.545, 8
3 0 6, 63.9, 1.457, 33

(6)
Ho6Rh2Au: calculated powder X-ray diffraction pattern (Cu Kα (λ = 1.5418 Å)), based on a DFT-relaxed cell (PBE, Alexandria).

```
data_Ho6Rh2Au
_space_group_name_H-M_alt 'I m m m'
_space_group_IT_number 71
_space_group_name_Hall '-I 2 2'
_cell_length_a 9.325
_cell_length_b 9.359
_cell_length_c 10.206
_cell_angle_alpha 90.00
_cell_angle_beta 90.00
_cell_angle_gamma 90.00
loop_
_atom_site_label
_atom_site_type_symbol
_atom_site_fract_x
_atom_site_fract_y
_atom_site_fract_z
Ho1 Ho 0.000 0.192 0.242
Ho2 Ho 0.194 0.500 0.170
Ho3 Ho 0.219 0.321 0.500
Rh1 Rh 0.000 0.333 0.000
Rh2 Rh 0.000 0.500 0.368
Au1 Au 0.000 0.000 0.000
Au2 Au 0.000 0.000 0.500
```

Top 12 peaks for 2θ from 5° to 70°, low angle first:
hkl, 2theta, d/Å, I (rel.)
3 1 0, 30.3, 2.951, 34
2 2 2, 32.3, 2.773, 100
2 1 3, 34.0, 2.637, 50
1 3 2, 35.1, 2.559, 85
0 0 4, 35.2, 2.552, 20
2 3 1, 35.7, 2.512, 74
1 1 4, 37.8, 2.380, 20
4 0 0, 38.6, 2.331, 33
3 0 3, 39.3, 2.295, 22
0 2 4, 40.3, 2.240, 22
3 5 0, 57.5, 1.604, 24
5 3 2, 60.6, 1.527, 36